(1)
Calculated powder diffraction line list of Ba3NaNbO6 for Cu Kα X-rays, from DFT lattice parameters and positions (GGA-PBE).
Intensities are scaled so that the largest is 100.

Main lines, low angle first (2θ = 10–80°):
d/Å	I (rel.)
5.030	23
3.192	100
3.005	94
2.188	56
1.884	14
1.769	29
1.735	17
1.677	12
1.596	11
1.503	14
1.410	11
1.359	11

Cell and atoms:
a = 7.243 Å, b = 7.243 Å, c = 7.243 Å
α = 91.89°, β = 91.89°, γ = 91.89°
Fractional positions:
Ba: 0.102 0.750 0.398
Ba: 0.250 0.602 0.898
Ba: 0.398 0.102 0.750
Ba: 0.602 0.898 0.250
Ba: 0.750 0.398 0.102
Ba: 0.898 0.250 0.602
Na: 0.250 0.250 0.250
Na: 0.750 0.750 0.750
Nb: 0.000 0.000 0.000
Nb: 0.500 0.500 0.500
O: 0.051 0.923 0.732
O: 0.077 0.268 0.949
O: 0.232 0.423 0.551
O: 0.268 0.949 0.077
O: 0.423 0.551 0.232
O: 0.449 0.768 0.577
O: 0.551 0.232 0.423
O: 0.577 0.449 0.768
O: 0.732 0.051 0.923
O: 0.768 0.577 0.449
O: 0.923 0.732 0.051
O: 0.949 0.077 0.268


(2)
Calculated powder diffraction line list of Na2AlH4ClO4 for Cu Kα X-rays, from DFT lattice parameters and positions (GGA-PBE).
Intensities are scaled so that the largest is 100.

Main lines, low angle first (2θ = 10–80°):
d/Å	I (rel.)
3.699	12
3.046	85
2.827	100
2.685	15
2.117	16
1.899	28
1.849	17
1.749	23
1.611	19
1.465	13
1.359	9
1.201	12

Cell and atoms:
a = 7.594 Å, b = 7.594 Å, c = 5.102 Å
α = 90.00°, β = 90.00°, γ = 90.00°
Fractional positions:
Na: 0.000 0.000 0.000
Na: 0.000 0.500 0.000
Na: 0.500 0.000 0.000
Na: 0.500 0.500 0.000
Al: 0.250 0.750 0.500
Al: 0.750 0.250 0.500
H: 0.040 0.250 0.391
H: 0.250 0.040 0.391
H: 0.250 0.460 0.391
H: 0.460 0.250 0.391
H: 0.540 0.750 0.609
H: 0.750 0.540 0.609
H: 0.750 0.960 0.609
H: 0.960 0.750 0.609
Cl: 0.250 0.250 0.721
Cl: 0.750 0.750 0.279
O: 0.066 0.750 0.718
O: 0.250 0.566 0.282
O: 0.250 0.934 0.282
O: 0.434 0.750 0.718
O: 0.566 0.250 0.282
O: 0.750 0.066 0.718
O: 0.750 0.434 0.718
O: 0.934 0.250 0.282


(3)
Calculated powder diffraction line list of F for Cu Kα X-rays, from DFT lattice parameters and positions (GGA-PBE).
Intensities are scaled so that the largest is 100.

Main lines, low angle first (2θ = 10–80°):
d/Å	I (rel.)
2.231	38
1.996	100
1.822	70
1.288	5
1.238	13

Cell and atoms:
a = 4.462 Å, b = 4.462 Å, c = 4.462 Å
α = 90.00°, β = 90.00°, γ = 90.00°
Fractional positions:
F: 0.000 0.000 0.000
F: 0.000 0.250 0.500
F: 0.000 0.750 0.500
F: 0.250 0.500 0.000
F: 0.500 0.000 0.250
F: 0.500 0.000 0.750
F: 0.500 0.500 0.500
F: 0.750 0.500 0.000


(4)
Calculated powder diffraction line list of Cs3IO5 for Cu Kα X-rays, from DFT lattice parameters and positions (GGA-PBE).
Intensities are scaled so that the largest is 100.

Main lines, low angle first (2θ = 10–80°):
d/Å	I (rel.)
3.398	99
3.322	97
3.292	100
2.426	25
2.380	26
2.279	20
1.953	36
1.935	38
1.893	30
1.699	15
1.646	13
1.275	12

Cell and atoms:
a = 9.116 Å, b = 9.521 Å, c = 9.704 Å
α = 90.00°, β = 90.00°, γ = 90.00°
Fractional positions:
Cs: 0.036 0.250 0.250
Cs: 0.250 0.000 0.517
Cs: 0.250 0.000 0.979
Cs: 0.250 0.500 0.521
Cs: 0.250 0.500 0.983
Cs: 0.464 0.750 0.250
Cs: 0.536 0.250 0.750
Cs: 0.750 0.000 0.021
Cs: 0.750 0.000 0.483
Cs: 0.750 0.500 0.017
Cs: 0.750 0.500 0.479
Cs: 0.964 0.750 0.750
I: 0.012 0.250 0.750
I: 0.488 0.750 0.750
I: 0.512 0.250 0.250
I: 0.988 0.750 0.250
O: 0.018 0.734 0.059
O: 0.018 0.766 0.441
O: 0.038 0.559 0.265
O: 0.038 0.941 0.235
O: 0.214 0.250 0.750
O: 0.286 0.750 0.750
O: 0.462 0.059 0.235
O: 0.462 0.441 0.265
O: 0.482 0.234 0.441
O: 0.482 0.266 0.059
O: 0.518 0.734 0.941
O: 0.518 0.766 0.559
O: 0.538 0.559 0.735
O: 0.538 0.941 0.765
O: 0.714 0.250 0.250
O: 0.786 0.750 0.250
O: 0.962 0.059 0.765
O: 0.962 0.441 0.735
O: 0.982 0.234 0.559
O: 0.982 0.266 0.941


(5)
Calculated powder diffraction line list of CeSe2 for Cu Kα X-rays, from DFT lattice parameters and positions (GGA-PBE).
Intensities are scaled so that the largest is 100.

Main lines, low angle first (2θ = 10–80°):
d/Å	I (rel.)
6.605	100
3.570	16
3.408	44
3.055	94
2.557	50
2.334	54
2.095	66
1.997	28
1.961	27
1.728	17
1.297	27
1.251	15

Cell and atoms:
a = 13.430 Å, b = 13.430 Å, c = 13.430 Å
α = 17.95°, β = 17.95°, γ = 17.95°
Fractional positions:
Ce: 0.000 0.000 0.000
Ce: 0.167 0.167 0.167
Se: 0.295 0.295 0.295
Se: 0.458 0.458 0.458
Se: 0.542 0.542 0.542
Se: 0.705 0.705 0.705


(6)
Calculated powder diffraction line list of Fe5Si2B for Cu Kα X-rays, from DFT lattice parameters and positions (GGA-PBE).
Intensities are scaled so that the largest is 100.

Main lines, low angle first (2θ = 10–80°):
d/Å	I (rel.)
2.750	33
2.208	26
2.117	54
2.078	15
2.050	17
1.969	22
1.945	27
1.903	100
1.794	33
1.236	14
1.230	16
1.207	20

Cell and atoms:
a = 6.534 Å, b = 6.534 Å, c = 6.534 Å
α = 96.56°, β = 96.56°, γ = 140.49°
Fractional positions:
Fe: 0.072 0.792 0.864
Fe: 0.208 0.072 0.280
Fe: 0.250 0.750 0.500
Fe: 0.292 0.572 0.864
Fe: 0.428 0.292 0.720
Fe: 0.572 0.708 0.280
Fe: 0.708 0.428 0.136
Fe: 0.750 0.250 0.500
Fe: 0.792 0.928 0.720
Fe: 0.928 0.208 0.136
Si: 0.167 0.333 0.500
Si: 0.333 0.833 0.166
Si: 0.667 0.167 0.834
Si: 0.833 0.667 0.500
B: 0.250 0.250 0.000
B: 0.750 0.750 0.000